Entry 1:
# NaMnAsO4
Calculated X-ray diffraction stick pattern, λ = 1.5418 Å (Cu Kα). Input: DFT lattice parameters and positions (PBE+U).
Lines closer than 0.1° are merged.

Most intense lines, 2θ from 10° to 80°, in order of falling intensity:
2theta, I_rel
33.0, 100
33.5, 80
21.3, 66
18.8, 58
27.5, 48
52.2, 48
29.9, 46
47.6, 21
37.9, 20
60.4, 18

Crystal structure
a = 10.9325 Å, b = 6.4790 Å, c = 5.2451 Å
α = 90.00°, β = 90.00°, γ = 90.00°
Positions (direct):
Na 0.0000 0.0000 0.0000
Na 0.0000 0.5000 0.0000
Na 0.5000 0.0000 0.5000
Na 0.5000 0.5000 0.5000
Mn 0.2187 0.2500 0.4939
Mn 0.2813 0.7500 0.9939
Mn 0.7187 0.2500 0.0061
Mn 0.7813 0.7500 0.5061
As 0.1048 0.7500 0.4452
As 0.3952 0.2500 0.9452
As 0.6048 0.7500 0.0548
As 0.8952 0.2500 0.5548
O 0.0442 0.2500 0.6673
O 0.1122 0.7500 0.7716
O 0.1779 0.5430 0.2978
O 0.1779 0.9570 0.2978
O 0.3221 0.0430 0.7978
O 0.3221 0.4570 0.7978
O 0.3878 0.2500 0.2716
O 0.4558 0.7500 0.1673
O 0.5442 0.2500 0.8327
O 0.6122 0.7500 0.7284
O 0.6779 0.5430 0.2022
O 0.6779 0.9570 0.2022
O 0.8221 0.0430 0.7022
O 0.8221 0.4570 0.7022
O 0.8878 0.2500 0.2284
O 0.9558 0.7500 0.3327

***

Entry 2:
# Li2CeSmMo4O16
Calculated X-ray diffraction stick pattern, λ = 1.5418 Å (Cu Kα). Input: DFT lattice parameters and positions (PBE+U).
Lines closer than 0.1° are merged.

Most intense lines, 2θ from 10° to 80°, in order of falling intensity:
2theta, I_rel
28.5, 100
46.7, 31
18.4, 29
57.2, 27
33.8, 18
15.5, 17
54.0, 16
48.5, 13
23.7, 13
75.5, 12

Crystal structure
a = 5.3077 Å, b = 5.3077 Å, c = 11.4254 Å
α = 90.00°, β = 90.00°, γ = 90.00°
Positions (direct):
Li 0.0000 0.5000 0.2503
Li 0.5000 0.0000 0.7497
Ce 0.0000 0.0000 0.0000
Sm 0.5000 0.5000 0.5000
Mo 0.0000 0.0000 0.5000
Mo 0.0000 0.5000 0.7459
Mo 0.5000 0.0000 0.2541
Mo 0.5000 0.5000 0.0000
O 0.1430 0.2588 0.8351
O 0.1548 0.7565 0.4159
O 0.2435 0.1548 0.5841
O 0.2476 0.6476 0.6610
O 0.2514 0.3539 0.0841
O 0.2588 0.8570 0.1649
O 0.3524 0.2476 0.3390
O 0.3539 0.7486 0.9159
O 0.6461 0.2514 0.9159
O 0.6476 0.7524 0.3390
O 0.7412 0.1430 0.1649
O 0.7486 0.6461 0.0841
O 0.7524 0.3524 0.6610
O 0.7565 0.8452 0.5841
O 0.8452 0.2435 0.4159
O 0.8570 0.7412 0.8351

***

Entry 3:
# V3O2F6
Calculated X-ray diffraction stick pattern, λ = 1.5418 Å (Cu Kα). Input: DFT lattice parameters and positions (PBE+U).
Lines closer than 0.1° are merged.

Most intense lines, 2θ from 10° to 80°, in order of falling intensity:
2theta, I_rel
23.8, 100
25.2, 68
30.5, 68
29.7, 61
29.2, 59
18.9, 57
30.7, 57
39.3, 52
52.3, 51
40.1, 48

Crystal structure
a = 5.1988 Å, b = 7.1995 Å, c = 7.6312 Å
α = 101.34°, β = 90.90°, γ = 90.33°
Positions (direct):
V 0.2203 0.3392 0.1825
V 0.2407 0.3236 0.6878
V 0.2632 0.8289 0.6759
V 0.7368 0.1711 0.3241
V 0.7593 0.6764 0.3122
V 0.7797 0.6608 0.8175
O 0.1030 0.5771 0.7001
O 0.3489 0.0583 0.6744
O 0.6511 0.9417 0.3256
O 0.8970 0.4229 0.2999
F 0.0532 0.0917 0.1916
F 0.0820 0.7866 0.4422
F 0.1060 0.3222 0.9316
F 0.4097 0.3102 0.4329
F 0.4239 0.5725 0.1999
F 0.4632 0.8067 0.8917
F 0.5368 0.1933 0.1083
F 0.5761 0.4275 0.8001
F 0.5903 0.6898 0.5671
F 0.8940 0.6778 0.0684
F 0.9180 0.2134 0.5578
F 0.9468 0.9083 0.8084

***

Entry 4:
# NiC4O6
Calculated X-ray diffraction stick pattern, λ = 1.5418 Å (Cu Kα). Input: DFT lattice parameters and positions (PBE+U).
Lines closer than 0.1° are merged.

Most intense lines, 2θ from 10° to 80°, in order of falling intensity:
2theta, I_rel
23.4, 100
15.7, 77
17.2, 76
28.5, 42
42.3, 23
24.4, 22
38.4, 19
40.4, 19
29.2, 19
39.0, 19

Crystal structure
a = 7.6443 Å, b = 7.6443 Å, c = 7.2817 Å
α = 118.37°, β = 118.37°, γ = 57.03°
Positions (direct):
Ni 0.0000 0.5000 0.0000
Ni 0.5000 0.0000 0.5000
C 0.0255 0.2593 0.5659
C 0.0821 0.8327 0.6562
C 0.1673 0.9179 0.8438
C 0.2593 0.0255 0.0659
C 0.7407 0.9745 0.9341
C 0.8327 0.0821 0.1562
C 0.9179 0.1673 0.3438
C 0.9745 0.7407 0.4341
O 0.0904 0.6484 0.3047
O 0.2069 0.5212 0.9753
O 0.2145 0.2452 0.6174
O 0.2452 0.2145 0.1174
O 0.3516 0.9096 0.1953
O 0.4788 0.7931 0.5247
O 0.5212 0.2069 0.4753
O 0.6484 0.0904 0.8047
O 0.7548 0.7855 0.8826
O 0.7855 0.7548 0.3826
O 0.7931 0.4788 0.0247
O 0.9096 0.3516 0.6953

***

Entry 5:
# Ba2MgFeWO6
Calculated X-ray diffraction stick pattern, λ = 1.5418 Å (Cu Kα). Input: DFT lattice parameters and positions (PBE+U).
Lines closer than 0.1° are merged.

Most intense lines, 2θ from 10° to 80°, in order of falling intensity:
2theta, I_rel
28.7, 100
30.6, 34
30.2, 29
30.5, 28
19.4, 24
50.9, 21
15.2, 15
51.6, 13
52.1, 13
59.4, 13

Crystal structure
a = 6.2157 Å, b = 6.2186 Å, c = 6.8151 Å
α = 116.33°, β = 90.29°, γ = 119.91°
Positions (direct):
Ba 0.0000 0.0000 0.0000
Ba 0.4087 0.8151 0.2318
Mg 0.7789 0.5560 0.3382
Fe 0.1748 0.3477 0.5258
W 0.6098 0.2204 0.8282
O 0.4261 0.3788 0.3327
O 0.4399 0.3915 0.8314
O 0.4445 0.8873 0.8370
O 0.9513 0.3920 0.8343
O 0.9528 0.9038 0.3328
O 0.9553 0.3804 0.3350